# In5Hg6Pb2
Computed X-ray powder pattern, a wavelength of 1.5418 Å. Input: DFT lattice parameters and positions (GGA-PBE).
Intensities are scaled so that the largest is 1000.

```
data_In5Hg6Pb2
_chemical_formula_sum 'In5 Hg6 Pb2'
_space_group_name_H-M_alt 'P -1'
_space_group_IT_number 2
_cell_length_a 3.389
_cell_length_b 9.292
_cell_length_c 11.606
_cell_angle_alpha 79.18
_cell_angle_beta 86.09
_cell_angle_gamma 88.83
loop_
_space_group_symop_operation_xyz
'x,y,z'
'-x,-y,-z'
loop_
_atom_site_label
_atom_site_type_symbol
_atom_site_fract_x
_atom_site_fract_y
_atom_site_fract_z
In1 In 0.000 0.000 0.000
In2 In 0.206 0.873 0.584
In3 In 0.207 0.442 0.342
Hg1 Hg 0.225 0.686 0.858
Hg2 Hg 0.279 0.289 0.604
Hg3 Hg 0.373 0.982 0.235
Pb1 Pb 0.424 0.321 0.893
```

Principal peaks in the range 5 to 70 degrees two-theta, by intensity:
hkl -1 2 1, d = 2.668 Å, I = 1000
hkl 1 0 3, d = 2.609 Å, I = 797
hkl 0 3 0, d = 3.042 Å, I = 753
hkl 1 1 -2, d = 2.635 Å, I = 671
hkl 1 1 -1, d = 2.965 Å, I = 530
hkl 0 2 4, d = 2.646 Å, I = 519
hkl 0 1 4, d = 2.872 Å, I = 508
hkl 1 2 1, d = 2.756 Å, I = 406
hkl 0 3 3, d = 2.624 Å, I = 384
hkl 1 -1 3, d = 2.424 Å, I = 379

# In4Hg8Pb3
Computed X-ray powder pattern, a wavelength of 1.5418 Å. Input: DFT lattice parameters and positions (GGA-PBE).
Intensities are scaled so that the largest is 1000.

```
data_In4Hg8Pb3
_chemical_formula_sum 'In4 Hg8 Pb3'
_space_group_name_H-M_alt 'P -1'
_space_group_IT_number 2
_cell_length_a 6.936
_cell_length_b 7.035
_cell_length_c 10.071
_cell_angle_alpha 89.07
_cell_angle_beta 89.36
_cell_angle_gamma 60.51
loop_
_space_group_symop_operation_xyz
'x,y,z'
'-x,-y,-z'
loop_
_atom_site_label
_atom_site_type_symbol
_atom_site_fract_x
_atom_site_fract_y
_atom_site_fract_z
In1 In 0.000 0.000 0.000
In2 In 0.000 0.000 0.500
In3 In 0.000 0.500 0.000
In4 In 0.500 0.000 0.000
Hg1 Hg 0.165 0.175 0.242
Hg2 Hg 0.175 0.681 0.261
Hg3 Hg 0.338 0.328 0.745
Hg4 Hg 0.345 0.792 0.730
Pb1 Pb 0.000 0.500 0.500
Pb2 Pb 0.500 0.000 0.500
Pb3 Pb 0.500 0.500 0.000
```

Principal peaks in the range 5 to 70 degrees two-theta, by intensity:
hkl 0 2 -2, d = 2.603 Å, I = 1000
hkl 0 0 4, d = 2.517 Å, I = 976
hkl 2 0 -1, d = 2.891 Å, I = 836
hkl 0 2 2, d = 2.630 Å, I = 789
hkl 2 -2 0, d = 1.759 Å, I = 650
hkl 2 0 2, d = 2.593 Å, I = 592
hkl 2 2 1, d = 2.902 Å, I = 495
hkl 2 2 -2, d = 2.570 Å, I = 461
hkl 2 0 -2, d = 2.585 Å, I = 448
hkl 2 2 -1, d = 2.877 Å, I = 439

# In3HgPb3
Computed X-ray powder pattern, a wavelength of 1.5418 Å. Input: DFT lattice parameters and positions (GGA-PBE).
Intensities are scaled so that the largest is 1000.

```
data_In3HgPb3
_chemical_formula_sum 'In6 Hg2 Pb6'
_space_group_name_H-M_alt 'P 1 21/m 1'
_space_group_IT_number 11
_cell_length_a 9.016
_cell_length_b 5.616
_cell_length_c 9.120
_cell_angle_alpha 90.00
_cell_angle_beta 118.82
_cell_angle_gamma 90.00
loop_
_space_group_symop_operation_xyz
'x,y,z'
'-x,-y,-z'
'-x,y+1/2,-z'
'x,-y+1/2,z'
loop_
_atom_site_label
_atom_site_type_symbol
_atom_site_fract_x
_atom_site_fract_y
_atom_site_fract_z
In1 In 0.100 0.250 0.478
In2 In 0.330 0.750 0.663
In3 In 0.386 0.250 0.911
Hg1 Hg 0.246 0.250 0.193
Pb1 Pb 0.043 0.750 0.243
Pb2 Pb 0.188 0.750 0.948
Pb3 Pb 0.474 0.750 0.375
```

Principal peaks in the range 5 to 70 degrees two-theta, by intensity:
hkl 2 1 1, d = 2.653 Å, I = 1000
hkl 1 1 -3, d = 2.645 Å, I = 919
hkl 3 1 -2, d = 2.609 Å, I = 828
hkl 0 2 0, d = 2.808 Å, I = 718
hkl 1 2 -3, d = 2.051 Å, I = 271
hkl 3 0 -2, d = 2.946 Å, I = 240
hkl 1 0 -3, d = 2.999 Å, I = 227
hkl 2 3 1, d = 1.590 Å, I = 219
hkl 1 2 4, d = 1.483 Å, I = 209
hkl 5 2 -1, d = 1.464 Å, I = 197

# In4HgPb7
Computed X-ray powder pattern, a wavelength of 1.5418 Å. Input: DFT lattice parameters and positions (GGA-PBE).
Intensities are scaled so that the largest is 1000.

```
data_In4HgPb7
_chemical_formula_sum 'In8 Hg2 Pb14'
_space_group_name_H-M_alt 'C 1 2/m 1'
_space_group_IT_number 12
_cell_length_a 12.737
_cell_length_b 6.010
_cell_length_c 11.466
_cell_angle_alpha 90.00
_cell_angle_beta 119.50
_cell_angle_gamma 90.00
loop_
_space_group_symop_operation_xyz
'x,y,z'
'-x,-y,-z'
'-x,y,-z'
'x,-y,z'
'x+1/2,y+1/2,z'
'-x+1/2,-y+1/2,-z'
'-x+1/2,y+1/2,-z'
'x+1/2,-y+1/2,z'
loop_
_atom_site_label
_atom_site_type_symbol
_atom_site_fract_x
_atom_site_fract_y
_atom_site_fract_z
In1 In 0.072 0.000 0.265
In2 In 0.222 0.000 0.807
Hg1 Hg 0.000 0.500 0.500
Pb1 Pb 0.000 0.000 0.500
Pb2 Pb 0.043 0.500 0.885
Pb3 Pb 0.164 0.000 0.052
Pb4 Pb 0.201 0.500 0.421
```

Principal peaks in the range 5 to 70 degrees two-theta, by intensity:
hkl 0 2 0, d = 3.005 Å, I = 1000
hkl 3 1 1, d = 2.695 Å, I = 935
hkl 4 0 -3, d = 2.965 Å, I = 931
hkl 1 1 -4, d = 2.493 Å, I = 771
hkl 4 2 -3, d = 2.111 Å, I = 726
hkl 0 0 2, d = 4.989 Å, I = 261
hkl 1 1 2, d = 3.265 Å, I = 240
hkl 3 3 1, d = 1.669 Å, I = 236
hkl 7 1 -2, d = 1.710 Å, I = 230
hkl 2 2 5, d = 1.438 Å, I = 227

# InHg2Pb
Computed X-ray powder pattern, a wavelength of 1.5418 Å. Input: DFT lattice parameters and positions (GGA-PBE).
Intensities are scaled so that the largest is 1000.

```
data_InHg2Pb
_chemical_formula_sum 'In2 Hg4 Pb2'
_space_group_name_H-M_alt 'I m m m'
_space_group_IT_number 71
_space_group_name_Hall '-I 2 2'
_cell_length_a 3.834
_cell_length_b 5.738
_cell_length_c 10.127
_cell_angle_alpha 90.00
_cell_angle_beta 90.00
_cell_angle_gamma 90.00
loop_
_atom_site_label
_atom_site_type_symbol
_atom_site_fract_x
_atom_site_fract_y
_atom_site_fract_z
In1 In 0.000 0.000 0.000
Hg1 Hg 0.000 0.500 0.259
Pb1 Pb 0.000 0.000 0.500
```

Principal peaks in the range 5 to 70 degrees two-theta, by intensity:
hkl 1 1 2, d = 2.698 Å, I = 1000
hkl 0 2 0, d = 2.869 Å, I = 297
hkl 1 3 2, d = 1.621 Å, I = 220
hkl 0 0 4, d = 2.532 Å, I = 206
hkl 0 2 4, d = 1.898 Å, I = 178
hkl 1 1 6, d = 1.492 Å, I = 158
hkl 2 2 4, d = 1.349 Å, I = 118
hkl 2 2 0, d = 1.594 Å, I = 105
hkl 2 0 0, d = 1.917 Å, I = 94
hkl 2 0 4, d = 1.528 Å, I = 89

# In2Hg4Pb
Computed X-ray powder pattern, a wavelength of 1.5418 Å. Input: DFT lattice parameters and positions (GGA-PBE).
Intensities are scaled so that the largest is 1000.

```
data_In2Hg4Pb
_chemical_formula_sum 'In2 Hg4 Pb1'
_space_group_name_H-M_alt 'P -1'
_space_group_IT_number 2
_cell_length_a 3.505
_cell_length_b 3.587
_cell_length_c 16.758
_cell_angle_alpha 89.22
_cell_angle_beta 89.62
_cell_angle_gamma 66.27
loop_
_space_group_symop_operation_xyz
'x,y,z'
'-x,-y,-z'
loop_
_atom_site_label
_atom_site_type_symbol
_atom_site_fract_x
_atom_site_fract_y
_atom_site_fract_z
In1 In 0.010 0.031 0.210
Hg1 Hg 0.334 0.329 0.931
Hg2 Hg 0.380 0.402 0.348
Pb1 Pb 0.000 0.000 0.500
```

Principal peaks in the range 5 to 70 degrees two-theta, by intensity:
hkl 0 1 -3, d = 2.813 Å, I = 1000
hkl 1 0 -3, d = 2.781 Å, I = 622
hkl 0 0 7, d = 2.394 Å, I = 540
hkl 1 0 -2, d = 2.996 Å, I = 365
hkl 0 1 4, d = 2.599 Å, I = 346
hkl 1 0 4, d = 2.548 Å, I = 343
hkl 1 -1 0, d = 1.938 Å, I = 303
hkl 0 1 -10, d = 1.485 Å, I = 238
hkl 1 0 5, d = 2.318 Å, I = 222
hkl 1 1 -5, d = 2.209 Å, I = 196

# In4Hg7Pb
Computed X-ray powder pattern, a wavelength of 1.5418 Å. Input: DFT lattice parameters and positions (GGA-PBE).
Intensities are scaled so that the largest is 1000.

```
data_In4Hg7Pb
_chemical_formula_sum 'In4 Hg7 Pb1'
_space_group_name_H-M_alt 'P -3 m 1'
_space_group_IT_number 164
_space_group_name_Hall '-P 3 2"'
_cell_length_a 4.7492
_cell_length_b 4.7492
_cell_length_c 17.2599
_cell_angle_alpha 90.00
_cell_angle_beta 90.00
_cell_angle_gamma 120.00
loop_
_atom_site_label
_atom_site_type_symbol
_atom_site_fract_x
_atom_site_fract_y
_atom_site_fract_z
In1 In 0.3333 0.6667 0.1671
In2 In 0.3333 0.6667 0.4223
Hg1 Hg 0.0000 0.0000 0.2544
Hg2 Hg 0.0000 0.0000 0.5000
Hg3 Hg 0.3333 0.6667 0.6613
Hg4 Hg 0.3333 0.6667 0.9119
Pb1 Pb 0.0000 0.0000 0.0000
```

Principal peaks in the range 5 to 70 degrees two-theta, by intensity:
hkl 1 0 4, d = 2.977 Å, I = 1000
hkl 1 1 0, d = 2.375 Å, I = 541
hkl 0 1 8, d = 1.911 Å, I = 272
hkl 0 2 4, d = 1.856 Å, I = 260
hkl 2 1 4, d = 1.463 Å, I = 240
hkl 2 0 8, d = 1.489 Å, I = 122
hkl 3 0 0, d = 1.371 Å, I = 97
hkl 0 1 1, d = 4.001 Å, I = 39
hkl 0 0 12, d = 1.438 Å, I = 34
hkl 0 1 3, d = 3.346 Å, I = 20

# In3Hg4Pb3
Computed X-ray powder pattern, a wavelength of 1.5418 Å. Input: DFT lattice parameters and positions (GGA-PBE).
Intensities are scaled so that the largest is 1000.

```
data_In3Hg4Pb3
_chemical_formula_sum 'In3 Hg4 Pb3'
_space_group_name_H-M_alt 'P 1 m 1'
_space_group_IT_number 6
_cell_length_a 8.381
_cell_length_b 3.435
_cell_length_c 9.939
_cell_angle_alpha 90.00
_cell_angle_beta 101.38
_cell_angle_gamma 90.00
loop_
_space_group_symop_operation_xyz
'x,y,z'
'x,-y,z'
loop_
_atom_site_label
_atom_site_type_symbol
_atom_site_fract_x
_atom_site_fract_y
_atom_site_fract_z
In1 In 0.000 0.000 0.000
In2 In 0.137 0.000 0.565
In3 In 0.613 0.000 0.781
Hg1 Hg 0.099 0.500 0.277
Hg2 Hg 0.447 0.500 0.517
Hg3 Hg 0.701 0.500 0.065
Hg4 Hg 0.907 0.500 0.720
Pb1 Pb 0.303 0.500 0.883
Pb2 Pb 0.416 0.000 0.196
Pb3 Pb 0.771 0.500 0.393
```

Principal peaks in the range 5 to 70 degrees two-theta, by intensity:
hkl 1 1 -2, d = 2.754 Å, I = 1000
hkl 1 0 3, d = 2.835 Å, I = 974
hkl 3 0 -1, d = 2.784 Å, I = 750
hkl 2 1 1, d = 2.467 Å, I = 730
hkl 2 0 -4, d = 2.304 Å, I = 408
hkl 2 1 -1, d = 2.632 Å, I = 335
hkl 1 2 3, d = 1.469 Å, I = 327
hkl 0 2 0, d = 1.718 Å, I = 270
hkl 0 1 0, d = 3.435 Å, I = 223
hkl 3 2 -1, d = 1.462 Å, I = 216

# In9HgPb2
Computed X-ray powder pattern, a wavelength of 1.5418 Å. Input: DFT lattice parameters and positions (GGA-PBE).
Intensities are scaled so that the largest is 1000.

```
data_In9HgPb2
_chemical_formula_sum 'In9 Hg1 Pb2'
_space_group_name_H-M_alt 'P 4/m m m'
_space_group_IT_number 123
_space_group_name_Hall '-P 4 2'
_cell_length_a 5.126
_cell_length_b 5.126
_cell_length_c 12.778
_cell_angle_alpha 90.00
_cell_angle_beta 90.00
_cell_angle_gamma 90.00
loop_
_atom_site_label
_atom_site_type_symbol
_atom_site_fract_x
_atom_site_fract_y
_atom_site_fract_z
In1 In 0.000 0.000 0.000
In2 In 0.000 0.000 0.332
In3 In 0.000 0.500 0.160
In4 In 0.000 0.500 0.500
Hg1 Hg 0.500 0.500 0.000
Pb1 Pb 0.500 0.500 0.332
```

Principal peaks in the range 5 to 70 degrees two-theta, by intensity:
hkl 1 1 3, d = 2.760 Å, I = 1000
hkl 2 0 0, d = 2.563 Å, I = 409
hkl 3 1 3, d = 1.515 Å, I = 318
hkl 2 0 6, d = 1.638 Å, I = 204
hkl 2 2 0, d = 1.812 Å, I = 146
hkl 0 0 6, d = 2.130 Å, I = 118
hkl 2 2 6, d = 1.380 Å, I = 115
hkl 1 0 0, d = 5.126 Å, I = 50
hkl 1 0 3, d = 3.276 Å, I = 36
hkl 1 1 0, d = 3.624 Å, I = 23

# InHg2Pb3
Computed X-ray powder pattern, a wavelength of 1.5418 Å. Input: DFT lattice parameters and positions (GGA-PBE).
Intensities are scaled so that the largest is 1000.

```
data_InHg2Pb3
_chemical_formula_sum 'In2 Hg4 Pb6'
_space_group_name_H-M_alt 'P -1'
_space_group_IT_number 2
_cell_length_a 5.784
_cell_length_b 8.126
_cell_length_c 8.706
_cell_angle_alpha 62.37
_cell_angle_beta 76.53
_cell_angle_gamma 73.58
loop_
_space_group_symop_operation_xyz
'x,y,z'
'-x,-y,-z'
loop_
_atom_site_label
_atom_site_type_symbol
_atom_site_fract_x
_atom_site_fract_y
_atom_site_fract_z
In1 In 0.112 0.247 0.145
Hg1 Hg 0.220 0.086 0.530
Hg2 Hg 0.452 0.576 0.805
Pb1 Pb 0.038 0.412 0.719
Pb2 Pb 0.298 0.919 0.946
Pb3 Pb 0.367 0.749 0.387
```

Principal peaks in the range 5 to 70 degrees two-theta, by intensity:
hkl 0 1 -2, d = 2.888 Å, I = 1000
hkl -1 2 1, d = 2.823 Å, I = 970
hkl 2 1 0, d = 2.762 Å, I = 907
hkl 1 2 3, d = 2.730 Å, I = 873
hkl 1 3 1, d = 2.611 Å, I = 794
hkl 2 0 2, d = 2.375 Å, I = 607
hkl -1 1 3, d = 2.315 Å, I = 525
hkl 1 -3 1, d = 1.813 Å, I = 277
hkl 4 1 2, d = 1.418 Å, I = 241
hkl 3 3 3, d = 1.705 Å, I = 228

# In2Hg2Pb
Computed X-ray powder pattern, a wavelength of 1.5418 Å. Input: DFT lattice parameters and positions (GGA-PBE).
Intensities are scaled so that the largest is 1000.

```
data_In2Hg2Pb
_chemical_formula_sum 'In4 Hg4 Pb2'
_space_group_name_H-M_alt 'I 4/m m m'
_space_group_IT_number 139
_space_group_name_Hall '-I 4 2'
_cell_length_a 4.294
_cell_length_b 4.294
_cell_length_c 15.569
_cell_angle_alpha 90.00
_cell_angle_beta 90.00
_cell_angle_gamma 90.00
loop_
_atom_site_label
_atom_site_type_symbol
_atom_site_fract_x
_atom_site_fract_y
_atom_site_fract_z
In1 In 0.000 0.000 0.101
Hg1 Hg 0.000 0.500 0.250
Pb1 Pb 0.000 0.000 0.500
```

Principal peaks in the range 5 to 70 degrees two-theta, by intensity:
hkl 1 1 2, d = 2.829 Å, I = 1000
hkl 2 0 0, d = 2.147 Å, I = 357
hkl 1 0 5, d = 2.521 Å, I = 308
hkl 1 0 3, d = 3.308 Å, I = 256
hkl 1 1 4, d = 2.394 Å, I = 208
hkl 0 0 4, d = 3.892 Å, I = 205
hkl 1 1 6, d = 1.973 Å, I = 200
hkl 1 1 10, d = 1.385 Å, I = 176
hkl 2 1 5, d = 1.634 Å, I = 164
hkl 2 0 8, d = 1.442 Å, I = 136

# In3Hg7Pb2
Computed X-ray powder pattern, a wavelength of 1.5418 Å. Input: DFT lattice parameters and positions (GGA-PBE).
Intensities are scaled so that the largest is 1000.

```
data_In3Hg7Pb2
_chemical_formula_sum 'In3 Hg7 Pb2'
_space_group_name_H-M_alt 'P 1 2/m 1'
_space_group_IT_number 10
_cell_length_a 5.708
_cell_length_b 3.402
_cell_length_c 17.488
_cell_angle_alpha 90.00
_cell_angle_beta 94.34
_cell_angle_gamma 90.00
loop_
_space_group_symop_operation_xyz
'x,y,z'
'-x,-y,-z'
'-x,y,-z'
'x,-y,z'
loop_
_atom_site_label
_atom_site_type_symbol
_atom_site_fract_x
_atom_site_fract_y
_atom_site_fract_z
In1 In 0.000 0.000 0.000
In2 In 0.195 0.500 0.322
Hg1 Hg 0.096 0.500 0.154
Hg2 Hg 0.243 0.000 0.475
Hg3 Hg 0.399 0.000 0.837
Hg4 Hg 0.500 0.500 0.000
Pb1 Pb 0.301 0.000 0.657
```

Principal peaks in the range 5 to 70 degrees two-theta, by intensity:
hkl 0 0 6, d = 2.904 Å, I = 1000
hkl 2 0 -1, d = 2.843 Å, I = 873
hkl 1 1 -5, d = 2.283 Å, I = 463
hkl 1 1 4, d = 2.384 Å, I = 380
hkl 1 1 1, d = 2.862 Å, I = 321
hkl 2 0 5, d = 2.127 Å, I = 313
hkl 0 1 1, d = 3.339 Å, I = 236
hkl 2 2 -1, d = 1.460 Å, I = 236
hkl 1 1 -3, d = 2.651 Å, I = 233
hkl 0 2 0, d = 1.701 Å, I = 207